Record 1
Diffraction record for CsBaCdO2. The PXRD pattern is computed, not measured: it uses the GGA-PBE geometry in Alexandria and a wavelength of 1.5418 Å.

Most intense lines, 5° ≤ 2θ ≤ 70°, by angle:
2theta	intensity
11.67	71
18.06	46
18.60	49
23.47	100
26.35	88
28.19	37
29.00	90
29.60	35
34.38	45
36.72	35

Structural model:
abc: 8.2923 6.7397 7.8460
angles: 90.00 113.91 90.00
Element x y z (fractional)
Cs 0.0000 0.2043 0.2500
Cs 0.0000 0.7957 0.7500
Ba 0.5000 0.4956 0.7500
Ba 0.5000 0.5044 0.2500
Cd 0.5000 0.0000 0.0000
Cd 0.5000 0.0000 0.5000
O 0.3813 0.2768 0.4460
O 0.3813 0.7232 0.9460
O 0.6187 0.2768 0.0540
O 0.6187 0.7232 0.5540

Record 2
Diffraction record for Ba5CdCu2. The PXRD pattern is computed, not measured: it uses the GGA-PBE geometry in Alexandria and a wavelength of 1.5418 Å.

Most intense lines, 5° ≤ 2θ ≤ 70°, by angle:
2theta	intensity
22.98	27
25.77	26
27.64	100
28.37	22
29.48	74
31.80	58
42.22	18
48.67	31
55.10	19
57.29	18

Structural model:
abc: 10.3960 10.3960 10.3960
angles: 129.32 129.32 74.50
Element x y z (fractional)
Ba 0.0000 0.0000 0.0000
Ba 0.0314 0.5314 0.8396
Ba 0.1919 0.0314 0.5000
Ba 0.3081 0.8081 0.8396
Ba 0.4686 0.3081 0.5000
Ba 0.5000 0.5000 0.0000
Ba 0.5314 0.6919 0.5000
Ba 0.6919 0.1919 0.1604
Ba 0.8081 0.9686 0.5000
Ba 0.9686 0.4686 0.1604
Cd 0.2500 0.2500 0.0000
Cd 0.7500 0.7500 0.0000
Cu 0.1026 0.3974 0.5000
Cu 0.3974 0.8974 0.2947
Cu 0.6026 0.1026 0.7053
Cu 0.8974 0.6026 0.5000

Record 3
Diffraction record for BaCdCuHg2. The PXRD pattern is computed, not measured: it uses the GGA-PBE geometry in Alexandria and a wavelength of 1.5418 Å.

Most intense lines, 5° ≤ 2θ ≤ 70°, by angle:
2theta	intensity
17.19	13
29.77	100
34.38	53
34.78	26
38.68	8
49.41	19
49.71	37
58.76	30
59.29	15
61.84	19

Structural model:
abc: 5.2170 5.2170 5.1587
angles: 90.00 90.00 90.00
Element x y z (fractional)
Ba 0.0000 0.0000 0.0000
Cd 0.5000 0.5000 0.0000
Cu 0.5000 0.5000 0.5000
Hg 0.0000 0.5000 0.5000
Hg 0.5000 0.0000 0.5000

Record 4
Diffraction record for Ba2Cd6InCu. The PXRD pattern is computed, not measured: it uses the GGA-PBE geometry in Alexandria and a wavelength of 1.5418 Å.

Most intense lines, 5° ≤ 2θ ≤ 70°, by angle:
2theta	intensity
24.74	31
26.73	82
28.27	72
30.07	100
34.02	100
34.93	49
38.48	26
42.52	29
45.80	41
50.74	54

Structural model:
abc: 7.1941 7.1992 7.7742
angles: 62.57 62.47 60.02
Element x y z (fractional)
Ba 0.2098 0.2087 0.3732
Ba 0.7902 0.7913 0.6268
Cd 0.2377 0.6670 0.8530
Cd 0.2426 0.2375 0.8523
Cd 0.3328 0.7592 0.1477
Cd 0.6672 0.2408 0.8523
Cd 0.7574 0.7625 0.1477
Cd 0.7623 0.3330 0.1470
In 0.5000 0.5000 0.5000
Cu 0.0000 0.0000 0.0000